Structure and simulated XRD peak list of Li4FeP6O18 (a crystal structure in Alexandria, relaxed with GGA+U; Cu Kα X-rays).
Peak positions follow from Bragg's law for the DFT cell and can differ from measured ones.

Structural model:
```
data_Li4FeP6O18
_cell_length_a 7.3232
_cell_length_b 7.5712
_cell_length_c 8.6126
_cell_angle_alpha 105.27
_cell_angle_beta 104.97
_cell_angle_gamma 112.98
_symmetry_space_group_name_H-M 'P 1'
_symmetry_Int_Tables_number 1
_symmetry_space_group_name_Hall 'P 1'
loop_
_atom_site_label
_atom_site_type_symbol
_atom_site_fract_x
_atom_site_fract_y
_atom_site_fract_z
Li1 Li 0.0000 0.0000 0.0000
Li2 Li 0.0810 0.5139 0.5033
Li3 Li 0.2434 0.9290 0.7529
Li4 Li 0.8259 0.5477 0.7052
Fe1 Fe 0.4090 0.3908 0.0424
P1 P 0.2941 0.7756 0.0633
P2 P 0.4599 0.1864 0.3259
P3 P 0.5973 0.8130 0.6496
P4 P 0.6654 0.1328 0.0884
P5 P 0.8001 0.7429 0.4151
P6 P 0.9649 0.1621 0.6640
O1 O 0.0069 0.3656 0.6512
O2 O 0.1203 0.7830 0.9296
O3 O 0.1341 0.1525 0.8024
O4 O 0.2619 0.5693 0.0658
O5 O 0.3099 0.2237 0.1966
O6 O 0.3509 0.9313 0.2613
O7 O 0.3719 0.7674 0.6270
O8 O 0.5207 0.8849 0.0429
O9 O 0.5295 0.1861 0.9620
O10 O 0.5320 0.2926 0.5184
O11 O 0.5866 0.6963 0.4569
O12 O 0.6787 0.2406 0.2845
O13 O 0.7235 0.6369 0.2201
O14 O 0.7271 0.7669 0.7828
O15 O 0.7367 0.0590 0.6823
O16 O 0.8860 0.1777 0.1032
O17 O 0.9146 0.9954 0.4730
O18 O 0.9482 0.6967 0.5360
```

The 10 most intense peaks (2θ = 10–90°), most intense first:
h k l, 2θ/deg, d/Å, intensity
1 0 -1, 14.37, 6.165, 100
1 1 -2, 24.69, 3.606, 28
1 -1 1, 18.56, 4.781, 26
1 0 0, 14.38, 6.159, 24
1 -2 1, 24.52, 3.630, 21
0 2 0, 28.06, 3.179, 15
0 0 2, 23.44, 3.795, 15
0 1 -1, 14.04, 6.310, 15
1 -1 2, 27.68, 3.223, 12
1 1 1, 32.02, 2.795, 11